1.
For Ba6MgCo2Sb4O18, a structure optimized by DFT (GGA+U) gives the calculated XRD peak list in this record (CuKα).
Intensities are scaled so that the largest is 100.

Peak list (12 most intense, 10° ≤ 2θ ≤ 90°, sorted by position)
hkl  2theta  d (Å)  I/Imax
1 1 1  17.94  4.945  8.7
0 1 -3  24.18  3.681  11.9
1 0 -3  24.36  3.654  9.1
1 1 4  28.60  3.121  13.6
1 0 -4  28.81  3.099  13.3
1 2 0  29.70  3.008  100.0
1 0 5  33.48  2.677  14.2
0 1 5  33.72  2.658  26.4
2 2 -3  38.81  2.320  10.9
0 2 -5  45.35  2.000  14.4
3 3 0  52.71  1.737  19.6
2 4 0  61.67  1.504  18.2

Structure:
Lattice parameters (Å, degrees): 6.0143 6.0152 15.5069 89.98 89.45 60.05
Fractional coordinates of all 31 atoms:
Ba  0.0000  0.0000  0.0000
Ba  0.0027  0.9981  0.3502
Ba  0.3265  0.3368  0.5061
Ba  0.3491  0.3264  0.8234
Ba  0.6622  0.6692  0.6540
Ba  0.6740  0.6629  0.2142
Mg  0.6946  0.6536  0.8770
Co  0.6555  0.6718  0.0325
Co  0.6629  0.6701  0.4326
Sb  0.0205  0.9908  0.7660
Sb  0.3306  0.3343  0.0937
Sb  0.3375  0.3312  0.2800
Sb  0.9945  0.0033  0.5757
O  0.0153  0.4919  0.0225
O  0.0161  0.4923  0.3499
O  0.1531  0.6960  0.6780
O  0.1536  0.1529  0.6782
O  0.1889  0.1853  0.1887
O  0.1890  0.6252  0.1886
O  0.3272  0.8357  0.5060
O  0.3580  0.8214  0.8260
O  0.4812  0.4897  0.0158
O  0.4820  0.0282  0.0159
O  0.4995  0.0091  0.3473
O  0.5013  0.4898  0.3473
O  0.6276  0.1858  0.1847
O  0.7006  0.1512  0.6914
O  0.8210  0.8376  0.5096
O  0.8253  0.3414  0.5096
O  0.8854  0.2925  0.8455
O  0.8852  0.8239  0.8453

2.
For Ba6MgCo2Sb4O18, a structure optimized by DFT (GGA+U) gives the calculated XRD peak list in this record (CuKα).
Intensities are scaled so that the largest is 100.

Peak list (12 most intense, 10° ≤ 2θ ≤ 90°, sorted by position)
hkl  2theta  d (Å)  I/Imax
0 1 1  17.77  4.993  23.1
1 1 -3  25.40  3.506  17.7
0 1 4  27.61  3.231  18.2
0 1 -4  28.88  3.092  22.0
1 0 -4  29.11  3.067  18.2
1 -1 0  29.85  2.993  100.0
1 2 0  30.16  2.963  69.2
2 1 1  30.29  2.950  77.6
1 0 5  32.12  2.786  35.3
0 1 5  32.28  2.773  30.1
0 2 3  37.95  2.371  16.3
3 0 1  53.32  1.718  15.9

Structure:
Lattice parameters (Å, degrees): 5.9267 5.9529 16.0384 85.11 84.68 60.51
Fractional coordinates of all 31 atoms:
Ba  0.0000  0.0000  0.0000
Ba  0.0393  0.0217  0.6851
Ba  0.2897  0.3095  0.1637
Ba  0.4046  0.4042  0.5541
Ba  0.5720  0.6443  0.3063
Ba  0.6894  0.6845  0.8495
Mg  0.1037  0.2247  0.4281
Co  0.6561  0.6510  0.0830
Co  0.7790  0.6230  0.6178
Sb  0.3441  0.3451  0.9454
Sb  0.3675  0.3543  0.7657
Sb  0.8030  0.9237  0.4370
Sb  0.9311  0.9909  0.2265
O  0.0022  0.5120  0.0056
O  0.0235  0.5899  0.3821
O  0.0397  0.5189  0.7100
O  0.0871  0.1062  0.3077
O  0.2122  0.6407  0.8516
O  0.2192  0.1896  0.8613
O  0.2832  0.7827  0.1729
O  0.4601  0.9317  0.4613
O  0.4920  0.5227  0.0001
O  0.4947  0.0244  0.0173
O  0.5176  0.5472  0.6932
O  0.5329  0.0531  0.6967
O  0.6136  0.1078  0.2998
O  0.6564  0.2039  0.8527
O  0.8075  0.2887  0.1480
O  0.8213  0.7687  0.1737
O  0.9164  0.3349  0.5433
O  0.9310  0.8123  0.5547

3.
For Ba2Tb2MgCo4O11, a structure optimized by DFT (GGA+U) gives the calculated XRD peak list in this record (CuKα).
Intensities are scaled so that the largest is 100.

Peak list (12 most intense, 10° ≤ 2θ ≤ 90°, sorted by position)
hkl  2theta  d (Å)  I/Imax
0 1 0  10.82  8.177  10.6
0 2 0  21.79  4.079  12.5
0 2 2  30.92  2.892  50.1
1 2 0  32.01  2.796  100.0
1 2 2  39.02  2.308  21.6
0 0 4  44.18  2.050  12.6
0 4 0  44.42  2.039  13.6
1 2 3  46.50  1.953  7.9
2 0 0  47.45  1.916  15.9
1 2 4  55.61  1.653  11.2
1 4 2  55.77  1.648  24.9
2 2 2  57.72  1.597  16.9

Structure:
Lattice parameters (Å, degrees): 3.8319 8.1576 8.2007 90.00 90.00 90.00
Fractional coordinates of all 20 atoms:
Ba  0.0000  0.0000  0.2295
Ba  0.0000  0.0000  0.7705
Tb  0.0000  0.5000  0.2088
Tb  0.0000  0.5000  0.7912
Mg  0.5000  0.5000  0.5000
Co  0.5000  0.2197  0.5000
Co  0.5000  0.2584  0.0000
Co  0.5000  0.7416  0.0000
Co  0.5000  0.7803  0.5000
O  0.0000  0.2740  0.0000
O  0.0000  0.3403  0.5000
O  0.0000  0.6597  0.5000
O  0.0000  0.7260  0.0000
O  0.5000  0.0000  0.0000
O  0.5000  0.0000  0.5000
O  0.5000  0.3211  0.2818
O  0.5000  0.3211  0.7182
O  0.5000  0.5000  0.0000
O  0.5000  0.6789  0.2818
O  0.5000  0.6789  0.7182